Starting from the GGA-PBE geometry in the Materials Project, the powder diffraction line list of K2TiAuF6 was calculated for Cu Ka.
Lines closer than 0.1° are merged.

Main lines, low angle first (2θ from 10° to 80°):
d [Å], 2theta, I/Imax
5.394, 16.4, 26
4.671, 19.0, 56
3.303, 27.0, 100
2.817, 31.8, 36
2.336, 38.5, 37
2.143, 42.2, 27
2.089, 43.3, 22
1.907, 47.7, 35
1.798, 50.8, 11
1.651, 55.7, 21
1.477, 62.9, 22
1.248, 76.3, 22

Atomic structure:
```
K2TiAuF6
1.0
0.000 4.671 4.671
4.671 0.000 4.671
4.671 4.671 0.000
K Ti Au F
2 1 1 6
Cartesian
2.336 2.336 2.336 K
7.007 7.007 7.007 K
0.000 0.000 0.000 Ti
4.671 4.671 4.671 Au
4.671 4.671 1.893 F
4.671 1.893 4.671 F
7.449 4.671 4.671 F
1.893 4.671 4.671 F
4.671 7.449 4.671 F
4.671 4.671 7.449 F
```